Simulated powder X-ray diffraction pattern
Compound: Li5VF8
Radiation: Cu Kα X-rays
Structure: DFT lattice parameters and positions (GGA+U)
Peak positions follow from Bragg's law for the DFT cell and can differ from measured ones.

Atomic structure:
abc: 5.799 8.567 5.959
angles: 90.00 90.00 90.00
Space group Cmmm (No. 65)
Symmetry-distinct sites (fractional):
Li 0.000 0.000 0.000 x2
Li 0.250 0.250 0.229 x8
V 0.000 0.000 0.500 x2
F 0.000 0.230 0.000 x4
F 0.000 0.235 0.500 x4
F 0.227 0.000 0.260 x8

Largest 6 diffraction maxima, most intense first, 15 to 90 degrees two-theta:
d_spacing  Position (°2θ)  I/Imax  (hkl)
4.802  18.5  100  1 1 0
2.078  43.6  84  2 0 2
1.491  62.3  55  0 0 4
2.142  42.2  45  0 4 0
3.739  23.8  36  1 1 1
3.478  25.6  21  0 2 1